This entry pairs a crystal structure of BaSr7Ti7MnO24 with its simulated XRD peak list. Radiation: CuKα. Structure: DFT lattice parameters and positions (PBE+U).
Peak positions follow from Bragg's law for the DFT cell and can differ from measured ones.

a b c (Å): 7.9048 7.9048 7.9048
angles (deg): 89.91 89.91 89.91
Fractional coordinates of all 40 atoms:
Ba 0.0000 0.0000 0.0000
Sr 0.0028 0.0028 0.5071
Sr 0.0028 0.5071 0.0028
Sr 0.0046 0.5055 0.5055
Sr 0.5041 0.5041 0.5041
Sr 0.5055 0.0046 0.5055
Sr 0.5055 0.5055 0.0046
Sr 0.5071 0.0028 0.0028
Ti 0.2573 0.2573 0.2573
Ti 0.2576 0.2576 0.7556
Ti 0.2577 0.7548 0.7548
Ti 0.2576 0.7556 0.2576
Ti 0.7548 0.2577 0.7548
Ti 0.7548 0.7548 0.2577
Ti 0.7556 0.2576 0.2576
Mn 0.7511 0.7511 0.7511
O 0.2478 0.2478 0.4969
O 0.2478 0.4969 0.2478
O 0.2493 0.4980 0.7449
O 0.2493 0.7449 0.4980
O 0.2507 0.2507 0.9956
O 0.2507 0.9956 0.2507
O 0.2516 0.7434 0.9963
O 0.2516 0.9963 0.7434
O 0.4969 0.2478 0.2478
O 0.4980 0.2493 0.7449
O 0.4980 0.7449 0.2493
O 0.5011 0.7469 0.7469
O 0.7434 0.2516 0.9963
O 0.7434 0.9963 0.2516
O 0.7449 0.2493 0.4980
O 0.7449 0.4980 0.2493
O 0.7449 0.7449 0.9942
O 0.7449 0.9942 0.7449
O 0.7469 0.5011 0.7469
O 0.7469 0.7469 0.5011
O 0.9942 0.7449 0.7449
O 0.9956 0.2507 0.2507
O 0.9963 0.2516 0.7434
O 0.9963 0.7434 0.2516

Principal peaks in the range 10 to 80 degrees two-theta, by intensity:
2θ = 32.0°, I 100; 2θ = 45.9°, I 40; 2θ = 57.1°, I 28; 2θ = 39.5°, I 21; 2θ = 76.2°, I 16; 2θ = 67.0°, I 11